Li4MnCo2O7: calculated powder XRD pattern (Cu Kα X-rays), based on a structure optimized by DFT (PBE+U).

Principal peaks in the range 5 to 70 degrees two-theta, low angle first:
Position (°2θ)	I (rel.)
5.36	27.3
18.57	100.0
36.57	11.9
36.69	26.3
38.28	10.3
44.23	25.8
44.36	52.1
48.44	11.3
64.04	20.4
64.82	13.5

Atomic structure:
```
Li4MnCo2O7
1.0
16.495 -1.434 0.000
16.495 1.434 0.000
-0.213 0.000 5.055
Li Mn Co O
8 2 4 14
direct
0.000 0.000 0.000
0.145 0.145 0.695
0.287 0.287 0.400
0.436 0.436 0.139
0.504 0.504 0.491
0.573 0.573 0.830
0.715 0.715 0.544
0.864 0.864 0.271
0.361 0.361 0.764
0.788 0.788 0.904
0.074 0.074 0.335
0.216 0.216 0.050
0.646 0.646 0.191
0.934 0.934 0.631
0.046 0.046 0.623
0.113 0.113 0.047
0.180 0.180 0.339
0.253 0.253 0.753
0.323 0.323 0.059
0.397 0.397 0.481
0.465 0.465 0.794
0.545 0.545 0.174
0.610 0.610 0.476
0.683 0.683 0.900
0.750 0.750 0.201
0.825 0.825 0.601
0.894 0.894 0.929
0.965 0.965 0.335
```


Li4MnCo2O7: calculated powder XRD pattern (Cu Kα X-rays), based on a structure optimized by DFT (PBE+U).

Principal peaks in the range 5 to 70 degrees two-theta, low angle first:
Position (°2θ)	I (rel.)
18.38	100.0
36.15	26.5
36.43	12.0
37.86	10.6
43.66	54.9
44.12	26.2
47.95	8.0
57.50	9.3
63.05	7.7
63.86	7.5

Atomic structure:
```
Li4MnCo2O7
1.0
5.873 0.000 0.000
-1.577 6.390 0.000
-1.368 -3.667 6.582
Li Mn Co O
8 2 4 14
direct
0.000 0.000 0.000
0.070 0.575 0.719
0.145 0.162 0.452
0.287 0.298 0.860
0.418 0.427 0.289
0.570 0.577 0.723
0.708 0.722 0.150
0.850 0.860 0.580
0.488 0.000 0.999
0.928 0.432 0.297
0.199 0.717 0.138
0.347 0.857 0.579
0.638 0.155 0.437
0.795 0.294 0.850
0.039 0.768 0.372
0.090 0.372 0.090
0.208 0.941 0.797
0.222 0.500 0.487
0.327 0.066 0.200
0.399 0.680 0.948
0.476 0.220 0.641
0.510 0.817 0.369
0.623 0.344 0.076
0.647 0.936 0.789
0.749 0.480 0.488
0.798 0.093 0.222
0.902 0.651 0.951
0.955 0.217 0.659
```


Li4MnCo2O7: calculated powder XRD pattern (Cu Kα X-rays), based on a structure optimized by DFT (PBE+U).

Principal peaks in the range 5 to 70 degrees two-theta, low angle first:
Position (°2θ)	I (rel.)
10.04	11.5
18.38	100.0
36.05	11.7
36.48	24.5
43.48	25.4
44.11	50.8
47.91	7.8
58.00	8.8
63.23	13.5
64.09	12.8

Atomic structure:
```
Li4MnCo2O7
1.0
9.702 -1.440 0.000
9.702 1.440 0.000
-3.988 0.000 8.793
Li Mn Co O
8 2 4 14
direct
0.000 0.000 0.000
0.068 0.068 0.793
0.211 0.211 0.342
0.372 0.372 0.945
0.500 0.500 0.500
0.628 0.628 0.055
0.789 0.789 0.658
0.932 0.932 0.207
0.142 0.142 0.566
0.858 0.858 0.434
0.282 0.282 0.134
0.431 0.431 0.723
0.569 0.569 0.277
0.718 0.718 0.866
0.044 0.044 0.390
0.103 0.103 0.191
0.179 0.179 0.965
0.238 0.238 0.735
0.330 0.330 0.537
0.391 0.391 0.340
0.474 0.474 0.125
0.526 0.526 0.875
0.609 0.609 0.660
0.670 0.670 0.463
0.762 0.762 0.265
0.821 0.821 0.035
0.897 0.897 0.809
0.956 0.956 0.610
```


Li7Mn2Co3O12: calculated powder XRD pattern (Cu Kα X-rays), based on a structure optimized by DFT (PBE+U).

Principal peaks in the range 5 to 70 degrees two-theta, low angle first:
Position (°2θ)	I (rel.)
5.76	37.5
18.31	100.0
35.10	15.5
36.54	25.2
42.09	24.3
44.36	53.6
47.41	7.5
58.32	8.9
62.52	12.5
63.10	11.4

Atomic structure:
```
Li7Mn2Co3O12
1.0
4.888 -1.433 0.000
4.888 1.433 0.000
-2.054 0.000 15.340
Li Mn Co O
7 2 3 12
direct
0.000 0.000 0.000
0.244 0.244 0.580
0.250 0.250 0.240
0.269 0.269 0.929
0.731 0.731 0.071
0.750 0.750 0.760
0.756 0.756 0.420
0.009 0.009 0.337
0.991 0.991 0.663
0.489 0.489 0.151
0.500 0.500 0.500
0.511 0.511 0.849
0.097 0.097 0.769
0.110 0.110 0.460
0.119 0.119 0.133
0.375 0.375 0.052
0.377 0.377 0.692
0.400 0.400 0.384
0.600 0.600 0.616
0.623 0.623 0.308
0.625 0.625 0.948
0.881 0.881 0.867
0.890 0.890 0.540
0.903 0.903 0.231
```


Li6Mn3CoO10: calculated powder XRD pattern (Cu Kα X-rays), based on a structure optimized by DFT (PBE+U).

Principal peaks in the range 5 to 70 degrees two-theta, low angle first:
Position (°2θ)	I (rel.)
10.95	12.9
12.12	13.9
13.98	9.9
18.45	100.0
35.68	12.6
36.40	23.8
43.12	28.8
44.15	56.9
63.25	14.7
63.58	14.5

Atomic structure:
```
Li6Mn3CoO10
1.0
7.583 -1.441 0.000
7.583 1.441 0.000
-2.268 0.000 8.080
Li Mn Co O
6 3 1 10
direct
0.000 0.000 0.000
0.001 0.001 0.502
0.195 0.195 0.098
0.405 0.405 0.720
0.604 0.604 0.270
0.807 0.807 0.916
0.204 0.204 0.594
0.406 0.406 0.196
0.601 0.601 0.815
0.804 0.804 0.393
0.012 0.012 0.754
0.193 0.193 0.851
0.214 0.214 0.345
0.394 0.394 0.432
0.399 0.399 0.973
0.602 0.602 0.032
0.613 0.613 0.571
0.797 0.797 0.626
0.814 0.814 0.170
0.994 0.994 0.250
```


Li6Mn3CoO10: calculated powder XRD pattern (Cu Kα X-rays), based on a structure optimized by DFT (PBE+U).

Principal peaks in the range 5 to 70 degrees two-theta, low angle first:
Position (°2θ)	I (rel.)
7.35	23.4
14.74	10.9
18.32	100.0
34.34	18.2
36.39	22.4
41.18	35.4
44.29	29.3
44.45	27.5
61.99	8.7
62.12	16.0

Atomic structure:
```
Li6Mn3CoO10
1.0
2.994 0.000 0.000
-0.163 5.076 0.000
-0.704 -1.308 12.023
Li Mn Co O
6 3 1 10
direct
0.000 0.000 0.000
0.053 0.724 0.190
0.304 0.115 0.601
0.468 0.539 0.997
0.691 0.912 0.402
0.914 0.306 0.799
0.162 0.422 0.395
0.559 0.210 0.188
0.796 0.620 0.601
0.416 0.817 0.807
0.044 0.346 0.107
0.081 0.099 0.286
0.202 0.755 0.495
0.376 0.496 0.702
0.444 0.122 0.885
0.529 0.889 0.104
0.582 0.546 0.296
0.754 0.287 0.498
0.826 0.946 0.699
0.975 0.666 0.890
```